Structure and theoretical powder diffraction line list of Fe3Co2P6WO24 (DFT lattice parameters and positions (PBE+U); Cu Kα (λ = 1.5418 Å)).

Structural model:
```
data_Fe3Co2P6WO24
_chemical_formula_sum 'Fe9 Co6 P18 W3 O72'
_space_group_name_H-M_alt 'R 3'
_space_group_IT_number 146
_space_group_name_Hall 'R 3'
_cell_length_a 8.6309
_cell_length_b 8.6309
_cell_length_c 20.8540
_cell_angle_alpha 90.00
_cell_angle_beta 90.00
_cell_angle_gamma 120.00
loop_
_atom_site_label
_atom_site_fract_x
_atom_site_fract_y
_atom_site_fract_z
_atom_site_occupancy
Fe1 0.0000 0.0000 0.0000 1
Fe2 0.0000 0.0000 0.2143 1
Fe3 0.0000 0.0000 0.4998 1
Co1 0.0000 0.0000 0.3574 1
Co2 0.0000 0.0000 0.8619 1
P1 0.0101 0.7136 0.1081 1
P2 0.0411 0.3739 0.2723 1
W1 0.0000 0.0000 0.7167 1
O1 0.0016 0.8039 0.1690 1
O2 0.0092 0.8069 0.0465 1
O3 0.0089 0.8251 0.7786 1
O4 0.0104 0.1988 0.6686 1
O5 0.0291 0.1901 0.2824 1
O6 0.1469 0.4753 0.2129 1
O7 0.1657 0.4797 0.6005 1
O8 0.1769 0.1562 0.4364 1
```

Most intense lines, 10 to 80 degrees two-theta, by angle:
| two_theta | I (rel.) |
| --- | --- |
| 12.58 | 23 |
| 20.58 | 100 |
| 20.77 | 28 |
| 24.27 | 71 |
| 33.09 | 60 |
| 36.05 | 37 |
| 47.46 | 29 |
| 56.43 | 28 |



Structure and theoretical powder diffraction line list of Pa2FeCoO8 (DFT lattice parameters and positions (PBE+U); Cu Kα (λ = 1.5418 Å)).

Structural model:
```
data_Pa2FeCoO8
_chemical_formula_sum 'Pa4 Fe2 Co2 O16'
_space_group_name_H-M_alt 'I -4'
_space_group_IT_number 82
_space_group_name_Hall 'I -4'
_cell_length_a 5.1847
_cell_length_b 5.1847
_cell_length_c 10.9870
_cell_angle_alpha 90.00
_cell_angle_beta 90.00
_cell_angle_gamma 90.00
loop_
_atom_site_label
_atom_site_fract_x
_atom_site_fract_y
_atom_site_fract_z
_atom_site_occupancy
Pa1 0.0000 0.0000 0.0000 1
Pa2 0.0000 0.5000 0.2500 1
Fe1 0.0000 0.0000 0.5000 1
Co1 0.0000 0.5000 0.7500 1
O1 0.1774 0.2316 0.8320 1
O2 0.1776 0.7246 0.4171 1
```

Most intense lines, 10 to 80 degrees two-theta, by angle:
| two_theta | I (rel.) |
| --- | --- |
| 18.93 | 47 |
| 29.29 | 100 |
| 32.60 | 15 |
| 34.60 | 22 |
| 39.73 | 16 |
| 48.27 | 30 |
| 56.15 | 17 |
| 58.77 | 30 |



Structure and theoretical powder diffraction line list of Fe2CoPbO4 (DFT lattice parameters and positions (PBE+U); Cu Kα (λ = 1.5418 Å)).

Structural model:
```
data_Fe2CoPbO4
_chemical_formula_sum 'Fe4 Co2 Pb2 O8'
_space_group_name_H-M_alt 'I -4 2 m'
_space_group_IT_number 121
_space_group_name_Hall 'I -4 2'
_cell_length_a 5.4316
_cell_length_b 5.4316
_cell_length_c 7.4512
_cell_angle_alpha 90.00
_cell_angle_beta 90.00
_cell_angle_gamma 90.00
loop_
_atom_site_label
_atom_site_fract_x
_atom_site_fract_y
_atom_site_fract_z
_atom_site_occupancy
Fe1 0.0000 0.5000 0.2500 1
Co1 0.0000 0.0000 0.0000 1
Pb1 0.0000 0.0000 0.5000 1
O1 0.2084 0.2084 0.1638 1
```

Most intense lines, 10 to 80 degrees two-theta, by angle:
| two_theta | I (rel.) |
| --- | --- |
| 20.23 | 38 |
| 23.16 | 19 |
| 32.98 | 37 |
| 33.51 | 100 |
| 39.00 | 21 |
| 47.34 | 23 |
| 59.24 | 38 |
| 60.24 | 20 |



Structure and theoretical powder diffraction line list of Fe3Co3Sb2O16 (DFT lattice parameters and positions (PBE+U); Cu Kα (λ = 1.5418 Å)).

Structural model:
```
data_Fe3Co3Sb2O16
_chemical_formula_sum 'Fe6 Co6 Sb4 O32'
_space_group_name_H-M_alt 'C 1 m 1'
_space_group_IT_number 8
_space_group_name_Hall 'C -2y'
_cell_length_a 10.0732
_cell_length_b 5.7819
_cell_length_c 9.2137
_cell_angle_alpha 90.00
_cell_angle_beta 91.22
_cell_angle_gamma 90.00
loop_
_atom_site_label
_atom_site_fract_x
_atom_site_fract_y
_atom_site_fract_z
_atom_site_occupancy
Fe1 0.0000 0.0000 0.0000 1
Fe2 0.0813 0.2509 0.5008 1
Co1 0.2508 0.2540 0.0040 1
Co2 0.3350 0.0000 0.5050 1
Sb1 0.3242 0.5000 0.2820 1
Sb2 0.4961 0.0000 0.7820 1
O1 0.0851 0.2448 0.8871 1
O2 0.1444 0.5000 0.6281 1
O3 0.1708 0.0000 0.5979 1
O4 0.1767 0.0000 0.0972 1
O5 0.1788 0.5000 0.1198 1
O6 0.2436 0.2409 0.3904 1
O7 0.3172 0.5000 0.9004 1
O8 0.3252 0.0000 0.8893 1
O9 0.3966 0.2719 0.1274 1
O10 0.4203 0.2217 0.6241 1
O11 0.4905 0.0000 0.4006 1
O12 0.4980 0.5000 0.3856 1
```

Most intense lines, 10 to 80 degrees two-theta, by angle:
| two_theta | I (rel.) |
| --- | --- |
| 19.91 | 38 |
| 20.07 | 68 |
| 20.26 | 100 |
| 26.44 | 30 |
| 36.70 | 31 |
| 36.87 | 47 |
| 37.26 | 31 |
| 64.16 | 31 |